# 1
Starting from a PBE-relaxed structure, the powder diffraction line list of Sr3Pa was computed for Cu Ka.

Crystal structure
```
Sr3Pa
1.0
0.000 4.485 4.485
4.485 0.000 4.485
4.485 4.485 0.000
Sr Pa
3 1
Direct
0.000 0.000 0.000
0.250 0.250 0.250
0.750 0.750 0.750
0.500 0.500 0.500
```

Top 8 peaks for 2θ = 10–80°, in order of rising 2θ:
17.12 deg, I 16; 19.80 deg, I 9; 28.14 deg, I 100; 33.13 deg, I 10; 40.22 deg, I 19; 49.80 deg, I 42; 58.18 deg, I 13; 65.86 deg, I 18

=====

# 2
Starting from a PBE-relaxed structure, the powder diffraction line list of ErCuPb was computed for Cu Ka.

Crystal structure
```
ErCuPb
1.0
4.624 0.000 0.000
-2.312 4.004 0.000
0.000 0.000 7.222
Er Cu Pb
2 2 2
Direct
0.000 0.000 0.000
0.000 0.000 0.500
0.333 0.667 0.250
0.667 0.333 0.750
0.333 0.667 0.750
0.667 0.333 0.250
```

Top 8 peaks for 2θ = 10–80°, in order of rising 2θ:
25.43 deg, I 29; 33.41 deg, I 100; 38.96 deg, I 70; 50.55 deg, I 11; 52.24 deg, I 28; 65.61 deg, I 30; 67.05 deg, I 27; 70.56 deg, I 12

=====

# 3
Starting from a PBE-relaxed structure, the powder diffraction line list of Zr6Ga2Ni was computed for Cu Ka.

Crystal structure
```
Zr6Ga2Ni
1.0
7.835 0.000 0.000
-3.917 6.785 0.000
0.000 0.000 3.404
Zr Ga Ni
6 2 1
Direct
0.000 0.255 0.000
0.000 0.596 0.500
0.255 0.000 0.000
0.404 0.404 0.500
0.596 0.000 0.500
0.745 0.745 0.000
0.333 0.667 0.000
0.667 0.333 0.000
0.000 0.000 0.500
```

Top 8 peaks for 2θ = 10–80°, in order of rising 2θ:
34.95 deg, I 100; 37.43 deg, I 48; 39.86 deg, I 27; 44.22 deg, I 17; 53.87 deg, I 10; 65.87 deg, I 12; 65.99 deg, I 21; 69.07 deg, I 10

=====

# 4
Starting from a PBE-relaxed structure, the powder diffraction line list of PrGe was computed for Cu Ka.

Crystal structure
```
PrGe
1.0
2.268 -5.600 0.000
2.268 5.600 0.000
0.000 0.000 4.100
Pr Ge
2 2
Direct
0.138 0.862 0.750
0.862 0.138 0.250
0.420 0.580 0.750
0.580 0.420 0.250
```

Top 8 peaks for 2θ = 10–80°, in order of rising 2θ:
26.95 deg, I 19; 30.45 deg, I 100; 31.02 deg, I 36; 31.96 deg, I 29; 38.16 deg, I 57; 38.95 deg, I 16; 39.73 deg, I 27; 44.18 deg, I 20

=====

# 5
Starting from a PBE-relaxed structure, the powder diffraction line list of MnZn13 was computed for Cu Ka.

Crystal structure
```
MnZn13
1.0
5.307 -3.803 0.000
5.307 3.803 0.000
-1.135 0.000 5.334
Mn Zn
1 13
Direct
0.000 0.000 0.000
0.000 0.000 0.500
0.007 0.640 0.197
0.215 0.618 0.689
0.232 0.232 0.372
0.360 0.993 0.803
0.382 0.785 0.311
0.387 0.387 0.066
0.613 0.613 0.934
0.618 0.215 0.689
0.640 0.007 0.197
0.768 0.768 0.628
0.785 0.382 0.311
0.993 0.360 0.803
```

Top 8 peaks for 2θ = 10–80°, in order of rising 2θ:
39.94 deg, I 49; 41.13 deg, I 100; 41.35 deg, I 40; 41.75 deg, I 27; 42.12 deg, I 19; 42.67 deg, I 59; 44.29 deg, I 20; 45.27 deg, I 26

=====

What did the fifth record say?
Starting from a PBE-relaxed structure, the powder diffraction line list of MnZn13 was computed for Cu Ka.

Crystal structure
```
MnZn13
1.0
5.307 -3.803 0.000
5.307 3.803 0.000
-1.135 0.000 5.334
Mn Zn
1 13
Direct
0.000 0.000 0.000
0.000 0.000 0.500
0.007 0.640 0.197
0.215 0.618 0.689
0.232 0.232 0.372
0.360 0.993 0.803
0.382 0.785 0.311
0.387 0.387 0.066
0.613 0.613 0.934
0.618 0.215 0.689
0.640 0.007 0.197
0.768 0.768 0.628
0.785 0.382 0.311
0.993 0.360 0.803
```

Top 8 peaks for 2θ = 10–80°, in order of rising 2θ:
39.94 deg, I 49; 41.13 deg, I 100; 41.35 deg, I 40; 41.75 deg, I 27; 42.12 deg, I 19; 42.67 deg, I 59; 44.29 deg, I 20; 45.27 deg, I 26